Calculated XRD peak list of Na4CaScP3O12 for λ = 1.5418 Å (Cu Kα), from a cell relaxed with GGA-PBE.

Structural model:
abc: 9.284 9.284 9.284
angles: 60.07 60.07 60.07
Element x y z (fractional)
1 Na 0.000 0.000 0.000
2 Na 0.117 0.387 0.743
3 Na 0.243 0.887 0.617
4 Na 0.387 0.743 0.117
5 Na 0.500 0.500 0.500
6 Na 0.617 0.243 0.887
7 Na 0.743 0.117 0.387
8 Na 0.887 0.617 0.243
9 Ca 0.349 0.349 0.349
10 Ca 0.849 0.849 0.849
11 Sc 0.152 0.152 0.152
12 Sc 0.652 0.652 0.652
13 P 0.049 0.759 0.448
14 P 0.259 0.549 0.948
15 P 0.448 0.049 0.759
16 P 0.549 0.948 0.259
17 P 0.759 0.448 0.049
18 P 0.948 0.259 0.549
19 O 0.031 0.788 0.604
20 O 0.061 0.926 0.277
21 O 0.102 0.720 0.916
22 O 0.104 0.288 0.531
23 O 0.220 0.602 0.416
24 O 0.225 0.380 0.986
25 O 0.277 0.061 0.926
26 O 0.288 0.531 0.104
27 O 0.380 0.986 0.225
28 O 0.416 0.220 0.602
29 O 0.426 0.561 0.777
30 O 0.486 0.880 0.725
31 O 0.531 0.104 0.288
32 O 0.561 0.777 0.426
33 O 0.602 0.416 0.220
34 O 0.604 0.031 0.788
35 O 0.720 0.916 0.102
36 O 0.725 0.486 0.880
37 O 0.777 0.426 0.561
38 O 0.788 0.604 0.031
39 O 0.880 0.725 0.486
40 O 0.916 0.102 0.720
41 O 0.926 0.277 0.061
42 O 0.986 0.225 0.380

The 10 most intense peaks (2θ = 10–90°), in order of rising 2θ:
2theta, I (rel.)
19.1, 27
22.4, 51
23.5, 18
29.6, 27
30.4, 100
33.4, 60
40.6, 20
45.8, 45
57.9, 26
59.7, 24

=====

Calculated XRD peak list of CeAl10Ru2 for λ = 1.5418 Å (Cu Kα), from a cell relaxed with GGA-PBE.

Structural model:
abc: 6.879 6.879 9.153
angles: 90.00 90.00 97.28
Element x y z (fractional)
1 Ce 0.123 0.877 0.750
2 Ce 0.877 0.123 0.250
3 Al 0.140 0.411 0.750
4 Al 0.159 0.841 0.101
5 Al 0.159 0.841 0.399
6 Al 0.221 0.480 0.250
7 Al 0.226 0.226 0.000
8 Al 0.226 0.226 0.500
9 Al 0.377 0.623 0.551
10 Al 0.377 0.623 0.949
11 Al 0.411 0.140 0.250
12 Al 0.480 0.221 0.750
13 Al 0.520 0.779 0.250
14 Al 0.589 0.860 0.750
15 Al 0.623 0.377 0.051
16 Al 0.623 0.377 0.449
17 Al 0.774 0.774 0.000
18 Al 0.774 0.774 0.500
19 Al 0.779 0.520 0.750
20 Al 0.841 0.159 0.601
21 Al 0.841 0.159 0.899
22 Al 0.860 0.589 0.250
23 Ru 0.000 0.500 0.000
24 Ru 0.000 0.500 0.500
25 Ru 0.500 0.000 0.000
26 Ru 0.500 0.000 0.500

The 10 most intense peaks (2θ = 10–90°), in order of rising 2θ:
2theta, I (rel.)
17.2, 37
26.1, 36
27.7, 56
27.9, 23
34.1, 28
36.6, 26
39.4, 32
39.6, 82
40.1, 100
57.7, 25

=====

Calculated XRD peak list of InO for λ = 1.5418 Å (Cu Kα), from a cell relaxed with GGA-PBE.

Structural model:
abc: 3.690 3.690 6.086
angles: 90.00 90.00 120.00
Element x y z (fractional)
1 In 0.333 0.667 0.000
2 In 0.667 0.333 0.500
3 O 0.333 0.667 0.374
4 O 0.667 0.333 0.874

The 10 most intense peaks (2θ = 10–90°), in order of rising 2θ:
2theta, I (rel.)
27.9, 37
29.4, 34
31.6, 100
41.0, 20
49.4, 29
53.5, 32
58.5, 27
59.8, 16
75.8, 11
81.2, 14

=====

Calculated XRD peak list of LiTi4O8 for λ = 1.5418 Å (Cu Kα), from a cell relaxed with GGA-PBE.

Structural model:
abc: 5.067 2.974 9.637
angles: 90.00 91.12 90.00
Element x y z (fractional)
1 Li 0.000 0.000 0.000
2 Ti 0.408 0.000 0.821
3 Ti 0.469 0.500 0.108
4 Ti 0.896 0.500 0.603
5 Ti 0.976 0.000 0.332
6 O 0.107 0.000 0.693
7 O 0.133 0.500 0.429
8 O 0.226 0.500 0.933
9 O 0.243 0.000 0.182
10 O 0.613 0.500 0.738
11 O 0.632 0.000 0.997
12 O 0.742 0.000 0.500
13 O 0.765 0.500 0.236

The 10 most intense peaks (2θ = 10–90°), in order of rising 2θ:
2theta, I (rel.)
19.6, 89
20.0, 100
32.7, 37
33.3, 28
35.5, 44
36.2, 24
36.3, 22
50.7, 26
51.3, 25
66.1, 23

=====

Calculated XRD peak list of CeAs12Ru4 for λ = 1.5418 Å (Cu Kα), from a cell relaxed with GGA-PBE.

Structural model:
abc: 7.438 7.438 7.438
angles: 109.47 109.47 109.47
Element x y z (fractional)
1 Ce 0.000 0.000 0.000
2 As 0.150 0.347 0.497
3 As 0.150 0.653 0.803
4 As 0.197 0.850 0.347
5 As 0.347 0.197 0.850
6 As 0.347 0.497 0.150
7 As 0.497 0.150 0.347
8 As 0.503 0.850 0.653
9 As 0.653 0.503 0.850
10 As 0.653 0.803 0.150
11 As 0.803 0.150 0.653
12 As 0.850 0.347 0.197
13 As 0.850 0.653 0.503
14 Ru 0.000 0.000 0.500
15 Ru 0.000 0.500 0.000
16 Ru 0.500 0.000 0.000
17 Ru 0.500 0.500 0.500

The 10 most intense peaks (2θ = 10–90°), in order of rising 2θ:
2theta, I (rel.)
29.4, 31
33.0, 100
39.3, 47
47.3, 32
52.2, 46
54.5, 37
69.2, 14
75.0, 14
76.9, 11
86.3, 10

=====

Calculated XRD peak list of Rb2SiAs2 for λ = 1.5418 Å (Cu Kα), from a cell relaxed with GGA-PBE.

Structural model:
abc: 8.558 8.558 8.558
angles: 128.74 70.21 135.47
Element x y z (fractional)
1 Rb 0.144 0.166 0.310
2 Rb 0.356 0.666 0.023
3 Rb 0.644 0.334 0.977
4 Rb 0.856 0.834 0.690
5 Si 0.250 0.750 0.500
6 Si 0.750 0.250 0.500
7 As 0.097 0.658 0.754
8 As 0.403 0.158 0.561
9 As 0.597 0.842 0.439
10 As 0.903 0.342 0.246

The 10 most intense peaks (2θ = 10–90°), in order of rising 2θ:
2theta, I (rel.)
22.5, 18
25.4, 49
27.5, 62
28.5, 100
31.5, 45
33.9, 64
36.8, 20
37.8, 53
49.2, 31
55.8, 23

=====

Calculated XRD peak list of Cs2RbAsCl6 for λ = 1.5418 Å (Cu Kα), from a cell relaxed with GGA-PBE.

Structural model:
abc: 7.988 7.988 7.988
angles: 60.00 60.00 60.00
Element x y z (fractional)
1 Cs 0.250 0.250 0.250
2 Cs 0.750 0.750 0.750
3 Rb 0.000 0.000 0.000
4 As 0.500 0.500 0.500
5 Cl 0.277 0.277 0.723
6 Cl 0.277 0.723 0.277
7 Cl 0.277 0.723 0.723
8 Cl 0.723 0.277 0.277
9 Cl 0.723 0.277 0.723
10 Cl 0.723 0.723 0.277

The 10 most intense peaks (2θ = 10–90°), in order of rising 2θ:
2theta, I (rel.)
22.3, 100
27.3, 29
31.7, 63
39.1, 43
45.4, 41
51.1, 25
56.4, 13
61.4, 27
75.2, 16
88.2, 15

=====

Calculated XRD peak list of Sr3Nb for λ = 1.5418 Å (Cu Kα), from a cell relaxed with GGA-PBE.

Structural model:
abc: 6.500 6.500 6.500
angles: 129.47 129.47 74.26
Element x y z (fractional)
1 Sr 0.000 0.000 0.000
2 Sr 0.250 0.750 0.500
3 Sr 0.750 0.250 0.500
4 Nb 0.500 0.500 0.000

The 10 most intense peaks (2θ = 10–90°), in order of rising 2θ:
2theta, I (rel.)
28.5, 100
32.3, 36
34.6, 15
46.3, 13
48.0, 23
55.3, 30
58.4, 13
59.1, 12
77.5, 11
87.1, 9

=====

Calculated XRD peak list of BaEuNbSbO6 for λ = 1.5418 Å (Cu Kα), from a cell relaxed with GGA-PBE.

Structural model:
abc: 8.588 8.607 8.689
angles: 90.00 90.00 90.00
Element x y z (fractional)
1 Ba 0.000 0.000 0.000
2 Ba 0.000 0.000 0.500
3 Ba 0.500 0.000 0.000
4 Ba 0.500 0.500 0.500
5 Eu 0.000 0.500 0.000
6 Eu 0.000 0.500 0.500
7 Eu 0.500 0.000 0.500
8 Eu 0.500 0.500 0.000
9 Nb 0.250 0.250 0.252
10 Nb 0.250 0.750 0.748
11 Nb 0.750 0.250 0.748
12 Nb 0.750 0.750 0.252
13 Sb 0.250 0.252 0.750
14 Sb 0.250 0.748 0.250
15 Sb 0.750 0.252 0.250
16 Sb 0.750 0.748 0.750
17 O 0.017 0.225 0.275
18 O 0.017 0.775 0.725
19 O 0.217 0.282 0.015
20 O 0.217 0.718 0.985
21 O 0.219 0.485 0.282
22 O 0.219 0.515 0.718
23 O 0.275 0.019 0.223
24 O 0.275 0.981 0.777
25 O 0.283 0.221 0.483
26 O 0.283 0.779 0.517
27 O 0.483 0.283 0.220
28 O 0.483 0.717 0.780
29 O 0.517 0.283 0.780
30 O 0.517 0.717 0.220
31 O 0.717 0.221 0.517
32 O 0.717 0.779 0.483
33 O 0.725 0.019 0.777
34 O 0.725 0.981 0.223
35 O 0.781 0.485 0.718
36 O 0.781 0.515 0.282
37 O 0.783 0.282 0.985
38 O 0.783 0.718 0.015
39 O 0.983 0.225 0.725
40 O 0.983 0.775 0.275

The 10 most intense peaks (2θ = 10–90°), in order of rising 2θ:
2theta, I (rel.)
29.2, 100
29.4, 49
41.6, 15
42.0, 28
51.7, 21
52.0, 42
60.6, 17
68.3, 9
83.6, 11
84.2, 11